Record 1
This entry pairs a crystal structure of Sc3TlPd12 with its calculated powder X-ray diffraction pattern. Radiation: λ = 1.5418 Å (Cu Kα). Structure: a PBE-relaxed structure.
Neutral-atom scattering factors, no anomalous dispersion.

Structural model:
a = 4.0287 Å, b = 4.0287 Å, c = 16.1284 Å
α = 90.00°, β = 90.00°, γ = 90.00°
Positions (direct):
Sc: 0.0000 0.0000 0.0000
Sc: 0.0000 0.0000 0.2481
Sc: 0.0000 0.0000 0.7519
Tl: 0.0000 0.0000 0.5000
Pd: 0.0000 0.5000 0.1231
Pd: 0.0000 0.5000 0.3692
Pd: 0.0000 0.5000 0.6308
Pd: 0.0000 0.5000 0.8769
Pd: 0.5000 0.0000 0.1231
Pd: 0.5000 0.0000 0.3692
Pd: 0.5000 0.0000 0.6308
Pd: 0.5000 0.0000 0.8769
Pd: 0.5000 0.5000 0.0000
Pd: 0.5000 0.5000 0.2464
Pd: 0.5000 0.5000 0.5000
Pd: 0.5000 0.5000 0.7536

Largest 10 diffraction maxima, low angle first, 10° ≤ 2θ ≤ 90°:
2θ/deg  I (rel.)
10.97  3
22.75  4
24.70  3
27.66  3
35.66  4
38.70  100
44.99  48
65.51  30
78.76  35
83.01  10

***

Record 2
This entry pairs a crystal structure of Zr2ScTlPd with its calculated powder X-ray diffraction pattern. Radiation: λ = 1.5418 Å (Cu Kα). Structure: a PBE-relaxed structure.
Neutral-atom scattering factors, no anomalous dispersion.

Structural model:
a = 4.9109 Å, b = 4.9109 Å, c = 5.2894 Å
α = 90.00°, β = 90.00°, γ = 90.00°
Positions (direct):
Zr: 0.0000 0.5000 0.0000
Zr: 0.5000 0.0000 0.0000
Sc: 0.0000 0.0000 0.0000
Tl: 0.0000 0.0000 0.5000
Pd: 0.5000 0.5000 0.5000

Largest 10 diffraction maxima, low angle first, 10° ≤ 2θ ≤ 90°:
2θ/deg  I (rel.)
18.06  16
30.80  100
33.89  28
36.60  45
50.73  35
52.72  16
58.73  16
62.31  27
64.17  17
82.87  20

***

Record 3
This entry pairs a crystal structure of TmSc2Pd with its calculated powder X-ray diffraction pattern. Radiation: λ = 1.5418 Å (Cu Kα). Structure: a PBE-relaxed structure.
Neutral-atom scattering factors, no anomalous dispersion.

Structural model:
a = 3.5806 Å, b = 11.6468 Å, c = 8.8636 Å
α = 90.00°, β = 90.00°, γ = 90.00°
Positions (direct):
Tm: 0.0000 0.0599 0.2500
Tm: 0.0000 0.9401 0.7500
Tm: 0.5000 0.4401 0.7500
Tm: 0.5000 0.5599 0.2500
Sc: 0.0000 0.3653 0.0593
Sc: 0.0000 0.3653 0.4407
Sc: 0.0000 0.6347 0.5593
Sc: 0.0000 0.6347 0.9407
Sc: 0.5000 0.1347 0.5593
Sc: 0.5000 0.1347 0.9407
Sc: 0.5000 0.8653 0.0593
Sc: 0.5000 0.8653 0.4407
Pd: 0.0000 0.2385 0.7500
Pd: 0.0000 0.7615 0.2500
Pd: 0.5000 0.2615 0.2500
Pd: 0.5000 0.7385 0.7500

Largest 10 diffraction maxima, low angle first, 10° ≤ 2θ ≤ 90°:
2θ/deg  I (rel.)
20.04  60
26.04  16
32.36  36
33.07  69
34.04  35
35.58  100
36.94  19
40.72  18
46.19  29
63.24  22

***

Record 4
This entry pairs a crystal structure of Tm3ScPd with its calculated powder X-ray diffraction pattern. Radiation: λ = 1.5418 Å (Cu Kα). Structure: a PBE-relaxed structure.
Neutral-atom scattering factors, no anomalous dispersion.

Structural model:
a = 6.9412 Å, b = 6.9412 Å, c = 7.5423 Å
α = 119.35°, β = 119.35°, γ = 74.21°
Positions (direct):
Tm: 0.0403 0.0403 0.3089
Tm: 0.0954 0.4941 0.2685
Tm: 0.4941 0.0954 0.2685
Tm: 0.5059 0.9046 0.7315
Tm: 0.9046 0.5059 0.7315
Tm: 0.9597 0.9597 0.6911
Sc: 0.4282 0.4282 0.7299
Sc: 0.5718 0.5718 0.2701
Pd: 0.2730 0.2730 0.9188
Pd: 0.7270 0.7270 0.0812

Largest 10 diffraction maxima, low angle first, 10° ≤ 2θ ≤ 90°:
2θ/deg  I (rel.)
16.19  30
20.34  30
29.56  47
30.04  48
32.00  100
32.72  28
33.95  42
34.26  49
38.73  50
52.79  37

***

Record 5
This entry pairs a crystal structure of Tm2Sc2Pd3 with its calculated powder X-ray diffraction pattern. Radiation: λ = 1.5418 Å (Cu Kα). Structure: a PBE-relaxed structure.
Neutral-atom scattering factors, no anomalous dispersion.

Structural model:
a = 8.3393 Å, b = 8.3393 Å, c = 8.3393 Å
α = 32.79°, β = 32.79°, γ = 32.79°
Positions (direct):
Tm: 0.1239 0.1239 0.1239
Tm: 0.8761 0.8761 0.8761
Sc: 0.3739 0.3739 0.3739
Sc: 0.6261 0.6261 0.6261
Pd: 0.0000 0.0000 0.0000
Pd: 0.2542 0.2542 0.2542
Pd: 0.7458 0.7458 0.7458

Largest 10 diffraction maxima, low angle first, 10° ≤ 2θ ≤ 90°:
2θ/deg  I (rel.)
22.13  54
34.48  22
37.58  100
38.24  97
54.70  33
67.38  17
68.70  33
69.14  17
80.21  10
81.87  11

***

Record 6
This entry pairs a crystal structure of Tm3ScPd12 with its calculated powder X-ray diffraction pattern. Radiation: λ = 1.5418 Å (Cu Kα). Structure: a PBE-relaxed structure.
Neutral-atom scattering factors, no anomalous dispersion.

Structural model:
a = 4.0730 Å, b = 4.0730 Å, c = 16.3015 Å
α = 90.00°, β = 90.00°, γ = 90.00°
Positions (direct):
Tm: 0.0000 0.0000 0.0000
Tm: 0.0000 0.0000 0.2526
Tm: 0.0000 0.0000 0.7474
Sc: 0.0000 0.0000 0.5000
Pd: 0.0000 0.5000 0.1265
Pd: 0.0000 0.5000 0.3797
Pd: 0.0000 0.5000 0.6203
Pd: 0.0000 0.5000 0.8735
Pd: 0.5000 0.0000 0.1265
Pd: 0.5000 0.0000 0.3797
Pd: 0.5000 0.0000 0.6203
Pd: 0.5000 0.0000 0.8735
Pd: 0.5000 0.5000 0.0000
Pd: 0.5000 0.5000 0.2532
Pd: 0.5000 0.5000 0.5000
Pd: 0.5000 0.5000 0.7468

Largest 10 diffraction maxima, low angle first, 10° ≤ 2θ ≤ 90°:
2θ/deg  I (rel.)
10.85  1
22.50  2
24.43  1
27.36  1
35.27  2
38.27  100
44.48  49
64.72  31
77.75  36
81.92  11